PuVZnO6: theoretical X-ray powder pattern (λ = 1.5418 Å (Cu Kα)), based on a DFT-relaxed cell (PBE+U, Alexandria).
Kinematic intensities with the Lorentz-polarization factor, no thermal factor.

Atomic structure:
Lattice parameters (Å, degrees): 5.2850 5.2850 8.9516 90.00 90.00 120.00
Sites, in units of the cell vectors:
Pu 0.3333 0.6667 0.2500
Pu 0.6667 0.3333 0.7500
V 0.3333 0.6667 0.7500
V 0.6667 0.3333 0.2500
Zn 0.0000 0.0000 0.0000
Zn 0.0000 0.0000 0.5000
O 0.0187 0.3580 0.6331
O 0.0187 0.6607 0.8669
O 0.3393 0.3580 0.8669
O 0.3393 0.9813 0.6331
O 0.3580 0.0187 0.1331
O 0.3580 0.3393 0.3669
O 0.6420 0.6607 0.6331
O 0.6420 0.9813 0.8669
O 0.6607 0.0187 0.3669
O 0.6607 0.6420 0.1331
O 0.9813 0.3393 0.1331
O 0.9813 0.6420 0.3669

The 8 most intense peaks (10° ≤ 2θ ≤ 80°), low angle first:
| d (Å) | 2θ (°) | I (rel.) | (hkl) |
| --- | --- | --- | --- |
| 4.476 | 19.84 | 41 | 0 0 2 |
| 4.075 | 21.81 | 89 | 1 0 1 |
| 3.200 | 27.88 | 100 | 1 0 2 |
| 2.643 | 33.92 | 61 | 1 1 0 |
| 2.500 | 35.93 | 30 | 1 0 3 |
| 2.276 | 39.61 | 43 | 1 1 2 |
| 2.038 | 44.46 | 28 | 2 0 2 |
| 1.708 | 53.67 | 55 | 1 1 4 |